PrNd4Dy10: computed X-ray diffraction stick pattern (Cu Kα), based on the PBE geometry in Alexandria.
Kinematic intensities with the Lorentz-polarization factor, no thermal factor.

```
data_PrNd4Dy10
_space_group_name_H-M_alt 'I 4/m'
_space_group_IT_number 87
_space_group_name_Hall '-I 4'
_cell_length_a 9.854
_cell_length_b 9.854
_cell_length_c 10.934
_cell_angle_alpha 90.00
_cell_angle_beta 90.00
_cell_angle_gamma 90.00
loop_
_atom_site_label
_atom_site_type_symbol
_atom_site_fract_x
_atom_site_fract_y
_atom_site_fract_z
_atom_site_occupancy
Pr1 Pr 0.000 0.000 0.000 1
Nd1 Nd 0.052 0.713 0.500 1
Dy1 Dy 0.000 0.500 0.250 1
Dy2 Dy 0.123 0.782 0.169 1
```

Principal peaks in the range 10 to 90 degrees two-theta, by intensity:
| 2θ (°) | I (rel.) | hkl |
| --- | --- | --- |
| 31.86 | 100 | 1 2 3 |
| 28.65 | 80 | 1 3 0 |
| 33.09 | 48 | 1 3 2 |
| 26.07 | 30 | 1 0 3 |
| 40.96 | 28 | 4 2 0 |
| 41.29 | 26 | 3 2 3 |
| 50.07 | 22 | 0 0 6 |
| 28.37 | 20 | 3 0 1 |
| 58.69 | 20 | 3 1 6 |
| 12.09 | 20 | 1 0 1 |

PrNd12Dy5: computed X-ray diffraction stick pattern (Cu Kα), based on the PBE geometry in Alexandria.
Kinematic intensities with the Lorentz-polarization factor, no thermal factor.

```
data_PrNd12Dy5
_space_group_name_H-M_alt 'C m m m'
_space_group_IT_number 65
_space_group_name_Hall '-C 2 2'
_cell_length_a 15.447
_cell_length_b 15.470
_cell_length_c 5.159
_cell_angle_alpha 90.00
_cell_angle_beta 90.00
_cell_angle_gamma 90.00
loop_
_atom_site_label
_atom_site_type_symbol
_atom_site_fract_x
_atom_site_fract_y
_atom_site_fract_z
_atom_site_occupancy
Pr1 Pr 0.000 0.000 0.000 1
Nd1 Nd 0.164 0.500 0.000 1
Nd2 Nd 0.165 0.334 0.500 1
Nd3 Nd 0.166 0.167 0.000 1
Nd4 Nd 0.167 0.000 0.500 1
Dy1 Dy 0.000 0.168 0.500 1
Dy2 Dy 0.000 0.333 0.000 1
Dy3 Dy 0.000 0.500 0.500 1
```

Principal peaks in the range 10 to 90 degrees two-theta, by intensity:
| 2θ (°) | I (rel.) | hkl |
| --- | --- | --- |
| 30.03 | 100 | 3 3 1 |
| 34.81 | 51 | 0 6 0 |
| 59.47 | 43 | 3 9 1 |
| 50.05 | 36 | 6 0 2 |
| 81.37 | 18 | 3 9 3 |
| 62.41 | 12 | 6 6 2 |
| 83.91 | 11 | 6 0 4 |
| 84.03 | 5 | 12 6 0 |
| 73.44 | 4 | 0 12 0 |
| 73.58 | 2 | 12 0 0 |

PrNd3Dy3: computed X-ray diffraction stick pattern (Cu Kα), based on the PBE geometry in Alexandria.
Kinematic intensities with the Lorentz-polarization factor, no thermal factor.

```
data_PrNd3Dy3
_space_group_name_H-M_alt 'P 63/m'
_space_group_IT_number 176
_space_group_name_Hall '-P 6c'
_cell_length_a 9.7217
_cell_length_b 9.7217
_cell_length_c 5.8295
_cell_angle_alpha 90.00
_cell_angle_beta 90.00
_cell_angle_gamma 120.00
loop_
_atom_site_label
_atom_site_type_symbol
_atom_site_fract_x
_atom_site_fract_y
_atom_site_fract_z
_atom_site_occupancy
Pr1 Pr 0.3333 0.6667 0.2500 1
Nd1 Nd 0.0956 0.6215 0.7500 1
Dy1 Dy 0.0463 0.8136 0.2500 1
```

Principal peaks in the range 10 to 90 degrees two-theta, by intensity:
| 2θ (°) | I (rel.) | hkl |
| --- | --- | --- |
| 32.04 | 100 | 1 2 1 |
| 30.67 | 25 | 0 0 2 |
| 28.04 | 24 | 1 2 0 |
| 59.47 | 23 | 4 1 2 |
| 55.40 | 21 | 1 2 3 |
| 49.62 | 20 | 4 1 0 |
| 60.30 | 16 | 2 4 1 |
| 42.04 | 16 | 1 2 2 |
| 81.76 | 14 | 7 0 1 |
| 84.94 | 8 | 4 1 4 |